Entry 1:
Structure and simulated PXRD pattern of NaTmIrO6 (a DFT-relaxed cell (GGA-PBE, Alexandria); copper Kα).
Intensities are scaled so that the largest is 1000.

The 8 most intense peaks (2θ = 5–70°), sorted by position:
2theta	I_rel	(hkl)
18.31	1000	0 0 2
18.54	661	1 0 0
26.18	877	1 0 2
32.41	678	1 1 0
37.48	904	1 1 2
50.09	624	1 1 4
54.13	234	2 1 2
61.18	235	3 0 2

a = 5.5253 Å, b = 5.5253 Å, c = 9.6883 Å
α = 90.00°, β = 90.00°, γ = 120.00°
Space group P-31c (No. 163)
Inequivalent atoms, fractional coordinates:
Na (0.0000, 0.0000, 0.0000) x2
Tm (0.3333, 0.6667, 0.2500) x2
Ir (0.3333, 0.6667, 0.7500) x2
O (0.0428, 0.3905, 0.6395) x12


Entry 2:
Structure and simulated PXRD pattern of Na4Y2Ir3O12 (a DFT-relaxed cell (GGA-PBE, Alexandria); copper Kα).
Intensities are scaled so that the largest is 1000.

The 8 most intense peaks (2θ = 5–70°), sorted by position:
2theta	I_rel	(hkl)
18.70	1000	1 1 0
32.68	665	3 0 0
33.77	813	1 1 1
37.91	143	2 2 0
47.70	422	2 2 1
58.32	156	3 3 0
59.02	413	4 1 1
67.79	166	3 0 2

a = 9.4927 Å, b = 9.4927 Å, c = 3.2021 Å
α = 90.00°, β = 90.00°, γ = 120.00°
Space group P-62m (No. 189)
Inequivalent atoms, fractional coordinates:
Na (0.0000, 0.0000, 0.0000) x1
Na (0.0000, 0.6978, 0.5000) x3
Y (0.3333, 0.6667, 0.5000) x2
Ir (0.0000, 0.3310, 0.0000) x3
O (0.0000, 0.1983, 0.5000) x3
O (0.0000, 0.4577, 0.5000) x3
O (0.2178, 0.7572, 0.0000) x6


Entry 3:
Structure and simulated PXRD pattern of NaYIrO4 (a DFT-relaxed cell (GGA-PBE, Alexandria); copper Kα).
Intensities are scaled so that the largest is 1000.

The 8 most intense peaks (2θ = 5–70°), sorted by position:
2theta	I_rel	(hkl)
18.43	546	0 0 2
18.90	690	0 3 1
32.50	770	0 3 3
33.22	385	1 0 2
33.32	364	0 6 0
33.49	1000	1 3 1
46.95	304	1 0 4
47.77	394	1 6 2

a = 3.256 Å, b = 16.132 Å, c = 9.626 Å
α = 90.00°, β = 90.00°, γ = 90.00°
Space group Amm2 (No. 38)
Inequivalent atoms, fractional coordinates:
Na (0.000, 0.000, 0.000) x2
Na (0.500, 0.151, 0.869) x4
Y (0.500, 0.000, 0.320) x2
Y (0.500, 0.173, 0.534) x4
Ir (0.000, 0.000, 0.688) x2
Ir (0.000, 0.161, 0.186) x4
O (0.000, 0.097, 0.375) x4
O (0.000, 0.125, 0.680) x4
O (0.000, 0.227, 0.008) x4
O (0.500, 0.000, 0.559) x2
O (0.500, 0.000, 0.817) x2
O (0.500, 0.090, 0.124) x4
O (0.500, 0.226, 0.247) x4


Entry 4:
Structure and simulated PXRD pattern of NaSn2PIr (a DFT-relaxed cell (GGA-PBE, Alexandria); copper Kα).
Intensities are scaled so that the largest is 1000.

The 8 most intense peaks (2θ = 5–70°), sorted by position:
2theta	I_rel	(hkl)
17.47	187	1 0 0
25.69	348	1 0 1
31.24	1000	1 1 1
35.35	474	2 0 0
37.91	196	0 0 2
50.86	170	2 2 0
52.80	304	2 0 2
60.91	310	3 1 1

a = 5.078 Å, b = 5.078 Å, c = 4.747 Å
α = 90.00°, β = 90.00°, γ = 90.00°
Space group P4/mmm (No. 123)
Inequivalent atoms, fractional coordinates:
Na (0.000, 0.000, 0.000) x1
Sn (0.000, 0.500, 0.500) x2
P (0.000, 0.000, 0.500) x1
Ir (0.500, 0.500, 0.000) x1


Entry 5:
Structure and simulated PXRD pattern of NaIr3Pd2S8 (a DFT-relaxed cell (GGA-PBE, Alexandria); copper Kα).
Intensities are scaled so that the largest is 1000.

The 8 most intense peaks (2θ = 5–70°), sorted by position:
2theta	I_rel	(hkl)
14.90	494	0 0 3
15.01	507	1 0 1
28.96	1000	0 2 1
30.29	285	2 0 2
35.04	642	0 2 4
46.09	372	1 2 5
50.25	384	2 0 8
50.55	386	2 2 0

a = 7.2219 Å, b = 7.2219 Å, c = 17.8418 Å
α = 90.00°, β = 90.00°, γ = 120.00°
Space group R3m (No. 160, hexagonal axes)
Inequivalent atoms, fractional coordinates:
Na (0.0000, 0.0000, 0.0000) x3
Ir (0.1680, 0.3361, 0.4590) x9
Pd (0.0000, 0.0000, 0.2484) x3
Pd (0.0000, 0.0000, 0.6255) x3
S (0.0000, 0.0000, 0.3915) x3
S (0.0000, 0.0000, 0.8577) x3
S (0.0487, 0.5243, 0.3847) x9
S (0.1832, 0.3664, 0.2017) x9


Entry 6:
Structure and simulated PXRD pattern of NaPr2Ir9 (a DFT-relaxed cell (GGA-PBE, Alexandria); copper Kα).
Intensities are scaled so that the largest is 1000.

The 8 most intense peaks (2θ = 5–70°), sorted by position:
2theta	I_rel	(hkl)
19.35	541	1 0 1
33.29	263	1 1 0
38.81	256	0 2 1
39.26	1000	1 1 6
41.05	414	0 0 12
42.40	850	2 0 5
45.78	339	0 2 7
69.96	271	2 2 0

a = 5.3789 Å, b = 5.3789 Å, c = 26.4038 Å
α = 90.00°, β = 90.00°, γ = 120.00°
Space group R-3m (No. 166, hexagonal axes)
Inequivalent atoms, fractional coordinates:
Na (0.0000, 0.0000, 0.0000) x3
Pr (0.0000, 0.0000, 0.1365) x6
Ir (0.0000, 0.0000, 0.3320) x6
Ir (0.0000, 0.0000, 0.5000) x3
Ir (0.0037, 0.5018, 0.0803) x18